Diffraction record for Br2OF3. The X-ray powder pattern is calculated, not measured: it uses a crystal structure in Alexandria, relaxed with PBE and λ = 1.5418 Å (Cu Kα).

Principal peaks in the range 2θ from 15° to 90°, most intense first:
| 2theta | intensity |
| --- | --- |
| 18.31 | 100.0 |
| 22.21 | 97.3 |
| 33.56 | 92.9 |
| 29.93 | 64.5 |
| 21.04 | 62.9 |
| 23.52 | 55.6 |
| 30.68 | 28.8 |
| 28.03 | 25.2 |
| 24.69 | 25.0 |
| 43.46 | 23.7 |

Cell and atoms:
a = 6.1286 Å, b = 11.9391 Å, c = 7.7640 Å
α = 90.00°, β = 102.96°, γ = 90.00°
Positions (direct):
Br 0.0058 0.2081 0.1981
Br 0.0058 0.2919 0.6981
Br 0.2629 0.0083 0.6955
Br 0.2629 0.4917 0.1955
Br 0.7371 0.5083 0.8045
Br 0.7371 0.9917 0.3045
Br 0.9942 0.7081 0.3019
Br 0.9942 0.7919 0.8019
O 0.2215 0.6414 0.1945
O 0.2215 0.8586 0.6945
O 0.7785 0.1414 0.3055
O 0.7785 0.3586 0.8055
F 0.2486 0.0206 0.9330
F 0.2486 0.4794 0.4330
F 0.2607 0.5034 0.9522
F 0.2607 0.9966 0.4522
F 0.2670 0.2152 0.6496
F 0.2670 0.2848 0.1496
F 0.7330 0.7152 0.8504
F 0.7330 0.7848 0.3504
F 0.7393 0.0034 0.5478
F 0.7393 0.4966 0.0478
F 0.7514 0.5206 0.5670
F 0.7514 0.9794 0.0670



Diffraction record for BrO2F3. The X-ray powder pattern is calculated, not measured: it uses a crystal structure in Alexandria, relaxed with PBE and λ = 1.5418 Å (Cu Kα).

Principal peaks in the range 2θ from 15° to 90°, most intense first:
| 2theta | intensity |
| --- | --- |
| 22.70 | 100.0 |
| 23.18 | 75.1 |
| 32.57 | 56.5 |
| 20.52 | 48.9 |
| 29.55 | 23.5 |
| 36.19 | 23.3 |
| 38.50 | 19.9 |
| 20.67 | 17.8 |
| 43.15 | 16.8 |
| 48.76 | 16.3 |

Cell and atoms:
a = 6.3234 Å, b = 6.3234 Å, c = 6.0470 Å
α = 90.33°, β = 90.33°, γ = 103.43°
Positions (direct):
Br 0.1144 0.8856 0.7500
Br 0.8856 0.1144 0.2500
O 0.3382 0.5146 0.2136
O 0.4854 0.6618 0.2864
O 0.5146 0.3382 0.7136
O 0.6618 0.4854 0.7864
F 0.0389 0.7921 0.4580
F 0.2079 0.9611 0.0420
F 0.2932 0.7068 0.7500
F 0.7068 0.2932 0.2500
F 0.7921 0.0389 0.9580
F 0.9611 0.2079 0.5420



Diffraction record for Sr10P6BrO24F. The X-ray powder pattern is calculated, not measured: it uses a crystal structure in Alexandria, relaxed with PBE and λ = 1.5418 Å (Cu Kα).

Principal peaks in the range 2θ from 15° to 90°, most intense first:
| 2theta | intensity |
| --- | --- |
| 30.28 | 100.0 |
| 29.98 | 98.7 |
| 31.07 | 73.0 |
| 43.94 | 44.1 |
| 46.44 | 31.4 |
| 48.31 | 24.4 |
| 47.55 | 22.4 |
| 48.98 | 20.5 |
| 27.33 | 17.4 |
| 45.24 | 16.5 |

Cell and atoms:
a = 9.9697 Å, b = 9.9697 Å, c = 7.3268 Å
α = 90.00°, β = 90.00°, γ = 120.00°
Positions (direct):
Sr 0.0000 0.0000 0.0000
Sr 0.0000 0.0000 0.4942
Sr 0.3333 0.6667 0.0141
Sr 0.3333 0.6667 0.5099
Sr 0.4053 0.0584 0.7507
Sr 0.4221 0.3273 0.2606
Sr 0.6531 0.5947 0.7507
Sr 0.6727 0.0948 0.2606
Sr 0.9052 0.5779 0.2606
Sr 0.9416 0.3469 0.7507
P 0.0316 0.7313 0.7597
P 0.0738 0.3659 0.2571
P 0.2687 0.3004 0.7597
P 0.2921 0.9262 0.2571
P 0.6341 0.7079 0.2571
P 0.6996 0.9684 0.7597
Br 0.6667 0.3333 0.9371
O 0.0010 0.1868 0.2569
O 0.0169 0.4193 0.4255
O 0.0283 0.4221 0.0818
O 0.0887 0.2114 0.7322
O 0.1226 0.9113 0.7322
O 0.1479 0.6691 0.7633
O 0.1858 0.9990 0.2569
O 0.1961 0.7456 0.2665
O 0.2544 0.4505 0.2665
O 0.2991 0.2393 0.9407
O 0.3309 0.4788 0.7633
O 0.3453 0.2598 0.5999
O 0.3938 0.9717 0.0818
O 0.4024 0.9831 0.4255
O 0.5212 0.8521 0.7633
O 0.5495 0.8039 0.2665
O 0.5779 0.6062 0.0818
O 0.5807 0.5976 0.4255
O 0.7402 0.0855 0.5999
O 0.7607 0.0598 0.9407
O 0.7886 0.8774 0.7322
O 0.8132 0.8142 0.2569
O 0.9145 0.6547 0.5999
O 0.9402 0.7009 0.9407
F 0.6667 0.3333 0.3556



Diffraction record for Pb2BrOF. The X-ray powder pattern is calculated, not measured: it uses a crystal structure in Alexandria, relaxed with PBE and λ = 1.5418 Å (Cu Kα).

Principal peaks in the range 2θ from 15° to 90°, most intense first:
| 2theta | intensity |
| --- | --- |
| 29.48 | 100.0 |
| 53.34 | 27.3 |
| 30.32 | 21.9 |
| 43.28 | 19.8 |
| 22.31 | 19.7 |
| 30.15 | 19.0 |
| 53.13 | 14.7 |
| 41.06 | 14.5 |
| 51.78 | 12.6 |
| 51.88 | 10.3 |

Cell and atoms:
a = 7.2237 Å, b = 7.2237 Å, c = 5.9284 Å
α = 90.00°, β = 90.00°, γ = 131.82°
Positions (direct):
Pb 0.0981 0.9019 0.7808
Pb 0.4019 0.5981 0.7808
Pb 0.5981 0.4019 0.2192
Pb 0.9019 0.0981 0.2192
Br 0.2500 0.7500 0.2254
Br 0.7500 0.2500 0.7746
O 0.2500 0.2500 0.0000
O 0.7500 0.7500 0.0000
F 0.2500 0.2500 0.5000
F 0.7500 0.7500 0.5000



Repeat the first record exactly.
Diffraction record for Br2OF3. The X-ray powder pattern is calculated, not measured: it uses a crystal structure in Alexandria, relaxed with PBE and λ = 1.5418 Å (Cu Kα).

Principal peaks in the range 2θ from 15° to 90°, most intense first:
| 2theta | intensity |
| --- | --- |
| 18.31 | 100.0 |
| 22.21 | 97.3 |
| 33.56 | 92.9 |
| 29.93 | 64.5 |
| 21.04 | 62.9 |
| 23.52 | 55.6 |
| 30.68 | 28.8 |
| 28.03 | 25.2 |
| 24.69 | 25.0 |
| 43.46 | 23.7 |

Cell and atoms:
a = 6.1286 Å, b = 11.9391 Å, c = 7.7640 Å
α = 90.00°, β = 102.96°, γ = 90.00°
Positions (direct):
Br 0.0058 0.2081 0.1981
Br 0.0058 0.2919 0.6981
Br 0.2629 0.0083 0.6955
Br 0.2629 0.4917 0.1955
Br 0.7371 0.5083 0.8045
Br 0.7371 0.9917 0.3045
Br 0.9942 0.7081 0.3019
Br 0.9942 0.7919 0.8019
O 0.2215 0.6414 0.1945
O 0.2215 0.8586 0.6945
O 0.7785 0.1414 0.3055
O 0.7785 0.3586 0.8055
F 0.2486 0.0206 0.9330
F 0.2486 0.4794 0.4330
F 0.2607 0.5034 0.9522
F 0.2607 0.9966 0.4522
F 0.2670 0.2152 0.6496
F 0.2670 0.2848 0.1496
F 0.7330 0.7152 0.8504
F 0.7330 0.7848 0.3504
F 0.7393 0.0034 0.5478
F 0.7393 0.4966 0.0478
F 0.7514 0.5206 0.5670
F 0.7514 0.9794 0.0670